# 1
# CeTm8Sc5
Simulated X-ray powder pattern, CuKα. Input: a cell relaxed with GGA-PBE.

Cell and atoms:
```
14
Lattice="-4.5761 4.5761 4.7873 4.5761 -4.5761 4.7873 4.5761 4.5761 -4.7873" Properties=species:S:1:pos:R:3 pbc="T T T"
Ce 0.0000 0.0000 0.0000
Tm 2.9569 3.7700 -2.4230
Tm 1.6192 0.8061 2.3643
Tm -0.6507 3.0075 0.8947
Tm 5.3822 2.9569 2.4230
Tm 0.6507 6.1447 0.8947
Tm 1.5686 3.9254 3.8926
Tm -0.8061 1.6192 7.2102
Tm -1.5686 5.2268 3.8926
Sc 5.5660 2.6974 -0.7094
Sc 4.5761 0.0000 2.3936
Sc 2.6974 3.5862 0.7094
Sc -0.9899 1.8787 4.0779
Sc 1.8787 0.9899 5.4966
```

The 10 most intense peaks (10 to 80 degrees two-theta), in order of falling intensity:
- 35.7°, d 2.517, rel. 100
- 23.6°, d 3.764, rel. 86
- 36.3°, d 2.477, rel. 85
- 30.9°, d 2.894, rel. 75
- 30.8°, d 2.907, rel. 75
- 29.6°, d 3.014, rel. 70
- 36.6°, d 2.454, rel. 68
- 50.8°, d 1.797, rel. 42
- 13.4°, d 6.616, rel. 38
- 48.4°, d 1.882, rel. 33


# 2
# CeTm2Sc4
Simulated X-ray powder pattern, CuKα. Input: a cell relaxed with GGA-PBE.

Cell and atoms:
```
7
Lattice="2.9291 -1.6916 0.0000 2.9291 1.6916 0.0000 -1.9561 0.0000 18.8632" Properties=species:S:1:pos:R:3 pbc="T T T"
Ce 0.0000 0.0000 0.0000
Tm 3.9091 0.0000 8.0013
Tm 3.9112 0.0000 13.4081
Sc 0.0000 0.0000 5.2872
Sc 0.0060 0.0000 10.6909
Sc 1.9545 0.0000 16.1309
Sc 3.9034 0.0000 2.7593
```

The 10 most intense peaks (10 to 80 degrees two-theta), in order of falling intensity:
- 34.5°, d 2.602, rel. 100
- 35.3°, d 2.546, rel. 96
- 30.6°, d 2.926, rel. 75
- 14.1°, d 6.288, rel. 53
- 33.2°, d 2.695, rel. 45
- 54.2°, d 1.691, rel. 33
- 18.8°, d 4.716, rel. 28
- 44.5°, d 2.035, rel. 26
- 65.1°, d 1.433, rel. 25
- 47.0°, d 1.933, rel. 23


# 3
# CeTmSc14
Simulated X-ray powder pattern, CuKα. Input: a cell relaxed with GGA-PBE.

Cell and atoms:
```
16
Lattice="10.4285 0.0000 0.0000 0.0000 3.3453 5.7755 0.0000 -3.3453 5.7755" Properties=species:S:1:pos:R:3 pbc="T T T"
Ce 0.0000 0.0000 0.0000
Tm 0.0000 0.0000 5.7670
Sc 0.0000 -1.6659 8.6276
Sc 0.0000 1.6659 8.6276
Sc 2.6290 0.0000 9.6064
Sc 2.6542 0.0000 3.8109
Sc 2.6731 -1.6865 6.7128
Sc 2.6731 1.6865 6.7128
Sc 5.2142 0.0000 5.7472
Sc 5.2142 -1.6721 8.6410
Sc 5.2142 1.6721 8.6410
Sc 5.2142 0.0000 11.5241
Sc 7.7554 -1.6865 6.7128
Sc 7.7554 1.6865 6.7128
Sc 7.7743 0.0000 3.8109
Sc 7.7995 0.0000 9.6064
```

The 10 most intense peaks (10 to 80 degrees two-theta), in order of falling intensity:
- 35.5°, d 2.529, rel. 100
- 30.9°, d 2.892, rel. 28
- 34.4°, d 2.607, rel. 24
- 62.3°, d 1.490, rel. 18
- 46.9°, d 1.937, rel. 17
- 17.6°, d 5.053, rel. 13
- 66.5°, d 1.405, rel. 12
- 55.0°, d 1.669, rel. 11
- 32.1°, d 2.787, rel. 10
- 67.1°, d 1.395, rel. 9


# 4
# CeYSc6
Simulated X-ray powder pattern, CuKα. Input: a cell relaxed with GGA-PBE.

Cell and atoms:
```
8
Lattice="6.7327 0.0000 0.0000 -3.3663 5.8307 0.0000 0.0000 0.0000 5.3364" Properties=species:S:1:pos:R:3 pbc="T T T"
Ce 0.0000 0.0000 0.0000
Y 3.3664 1.9436 2.6682
Sc -1.6432 2.9384 0.0000
Sc 0.0000 1.9480 2.6682
Sc -1.6794 4.8567 2.6682
Sc 1.6432 2.9384 0.0000
Sc 0.0000 5.7846 0.0000
Sc 1.6794 4.8567 2.6682
```

The 10 most intense peaks (10 to 80 degrees two-theta), in order of falling intensity:
- 35.1°, d 2.558, rel. 100
- 22.6°, d 3.937, rel. 26
- 33.6°, d 2.668, rel. 25
- 30.7°, d 2.915, rel. 25
- 65.6°, d 1.424, rel. 19
- 61.0°, d 1.518, rel. 18
- 54.5°, d 1.683, rel. 17
- 46.1°, d 1.968, rel. 15
- 66.5°, d 1.406, rel. 14
- 15.2°, d 5.831, rel. 12


# 5
# CeSc4Zn5
Simulated X-ray powder pattern, CuKα. Input: a cell relaxed with GGA-PBE.

Cell and atoms:
```
10
Lattice="3.3383 0.0000 0.0000 0.0000 3.3383 0.0000 0.0000 0.0000 17.6023" Properties=species:S:1:pos:R:3 pbc="T T T"
Ce 0.0000 0.0000 0.0000
Sc 0.0000 0.0000 3.7650
Sc 0.0000 0.0000 7.1197
Sc 0.0000 0.0000 10.4827
Sc 0.0000 0.0000 13.8374
Zn 1.6691 1.6691 2.1144
Zn 1.6691 1.6691 5.4312
Zn 1.6691 1.6691 8.8012
Zn 1.6691 1.6691 12.1712
Zn 1.6691 1.6691 15.4880
```

The 10 most intense peaks (10 to 80 degrees two-theta), in order of falling intensity:
- 37.1°, d 2.422, rel. 100
- 38.1°, d 2.361, rel. 53
- 68.2°, d 1.374, rel. 30
- 55.0°, d 1.669, rel. 17
- 66.2°, d 1.411, rel. 11
- 33.7°, d 2.660, rel. 11
- 30.8°, d 2.902, rel. 8
- 28.6°, d 3.121, rel. 7
- 79.1°, d 1.211, rel. 7
- 51.9°, d 1.760, rel. 6


# 6
# Ce2ZrSc12
Simulated X-ray powder pattern, CuKα. Input: a cell relaxed with GGA-PBE.

Cell and atoms:
```
15
Lattice="3.2300 0.0000 0.0000 0.0000 5.2602 0.0000 0.0000 0.0000 22.6727" Properties=species:S:1:pos:R:3 pbc="T T T"
Ce 0.0000 0.0000 5.2441
Ce 0.0000 0.0000 17.4287
Zr 0.0000 0.0000 11.3364
Sc 0.0000 2.6301 1.3765
Sc 0.0000 2.6301 9.6743
Sc 0.0000 2.6301 12.9985
Sc 0.0000 2.6301 21.2963
Sc 1.6150 0.0000 1.8918
Sc 1.6150 0.0000 8.5746
Sc 1.6150 0.0000 14.0981
Sc 1.6150 0.0000 20.7810
Sc 1.6150 2.6301 3.8841
Sc 1.6150 2.6301 6.8745
Sc 1.6150 2.6301 15.7982
Sc 1.6150 2.6301 18.7886
```

The 10 most intense peaks (10 to 80 degrees two-theta), in order of falling intensity:
- 33.5°, d 2.675, rel. 100
- 34.1°, d 2.630, rel. 95
- 36.3°, d 2.476, rel. 86
- 32.5°, d 2.757, rel. 80
- 36.0°, d 2.495, rel. 70
- 31.9°, d 2.806, rel. 59
- 47.4°, d 1.919, rel. 41
- 23.1°, d 3.856, rel. 35
- 34.7°, d 2.586, rel. 34
- 27.6°, d 3.237, rel. 28


# 7
# CeZr5Sc12
Simulated X-ray powder pattern, CuKα. Input: a cell relaxed with GGA-PBE.

Cell and atoms:
```
18
Lattice="2.8203 -4.8875 0.0000 2.8203 4.8875 0.0000 -1.8807 0.0000 15.7932" Properties=species:S:1:pos:R:3 pbc="T T T"
Ce 0.0000 0.0000 0.0000
Zr 1.8799 3.2571 7.8966
Zr 2.8203 1.6298 0.0000
Zr 1.8799 0.0000 7.8966
Zr 2.8203 -1.6298 0.0000
Zr 1.8799 -3.2571 7.8966
Sc 1.8794 3.2504 2.6397
Sc 0.9457 1.6314 5.3583
Sc -0.0025 0.0000 10.4329
Sc 1.8805 3.2504 13.1535
Sc 1.8929 0.0000 2.6398
Sc 0.9457 -1.6314 5.3583
Sc 2.8142 1.6314 10.4349
Sc 1.8670 0.0000 13.1533
Sc 1.8794 -3.2504 2.6397
Sc 3.7624 0.0000 5.3602
Sc 2.8142 -1.6314 10.4349
Sc 1.8805 -3.2504 13.1535
```

The 10 most intense peaks (10 to 80 degrees two-theta), in order of falling intensity:
- 35.2°, d 2.547, rel. 100
- 11.2°, d 7.897, rel. 87
- 34.1°, d 2.632, rel. 69
- 37.1°, d 2.424, rel. 67
- 32.6°, d 2.744, rel. 54
- 67.6°, d 1.385, rel. 50
- 33.1°, d 2.704, rel. 46
- 56.5°, d 1.629, rel. 45
- 37.1°, d 2.423, rel. 33
- 41.7°, d 2.167, rel. 31


# 8
# CeZr2Sc4
Simulated X-ray powder pattern, CuKα. Input: a cell relaxed with GGA-PBE.

Cell and atoms:
```
7
Lattice="2.8289 -1.6317 0.0000 2.8289 1.6317 0.0000 -1.9193 0.0000 18.5335" Properties=species:S:1:pos:R:3 pbc="T T T"
Ce 0.0000 0.0000 0.0000
Zr 3.7919 0.0000 7.9600
Zr 3.7829 0.0000 13.1343
Sc 0.0120 0.0000 5.4261
Sc 0.0058 0.0000 10.5580
Sc 1.8782 0.0000 15.6685
Sc 3.7930 0.0000 2.7798
```

The 10 most intense peaks (10 to 80 degrees two-theta), in order of falling intensity:
- 35.6°, d 2.520, rel. 100
- 36.4°, d 2.468, rel. 88
- 31.7°, d 2.824, rel. 61
- 33.9°, d 2.648, rel. 46
- 56.4°, d 1.632, rel. 32
- 14.3°, d 6.178, rel. 31
- 45.8°, d 1.982, rel. 23
- 67.4°, d 1.389, rel. 23
- 61.2°, d 1.515, rel. 19
- 48.3°, d 1.884, rel. 16


# 9
# Ce2ZrSc
Simulated X-ray powder pattern, CuKα. Input: a cell relaxed with GGA-PBE.

Cell and atoms:
```
4
Lattice="4.5548 0.0000 0.0000 0.0000 4.5548 0.0000 0.0000 0.0000 4.9397" Properties=species:S:1:pos:R:3 pbc="T T T"
Ce 0.0000 2.2774 0.0000
Ce 2.2774 0.0000 0.0000
Zr 0.0000 0.0000 2.4698
Sc 2.2774 2.2774 2.4698
```

The 10 most intense peaks (10 to 80 degrees two-theta), in order of falling intensity:
- 33.2°, d 2.698, rel. 100
- 39.6°, d 2.277, rel. 31
- 67.8°, d 1.383, rel. 24
- 54.8°, d 1.674, rel. 23
- 36.4°, d 2.470, rel. 19
- 63.4°, d 1.466, rel. 15
- 18.0°, d 4.940, rel. 12
- 69.7°, d 1.349, rel. 11
- 57.2°, d 1.610, rel. 10
- 27.7°, d 3.221, rel. 9


# 10
# Ce2Se
Simulated X-ray powder pattern, CuKα. Input: a cell relaxed with GGA-PBE.

Cell and atoms:
```
3
Lattice="-2.0051 2.0051 4.6927 2.0051 -2.0051 4.6927 2.0051 2.0051 -4.6927" Properties=species:S:1:pos:R:3 pbc="T T T"
Ce 0.0000 0.0000 1.3007
Ce 0.0000 0.0000 8.0848
Se 0.0000 0.0000 4.6927
```

The 10 most intense peaks (10 to 80 degrees two-theta), in order of falling intensity:
- 36.4°, d 2.467, rel. 100
- 31.6°, d 2.836, rel. 92
- 59.4°, d 1.556, rel. 48
- 45.2°, d 2.005, rel. 34
- 24.1°, d 3.688, rel. 28
- 74.9°, d 1.268, rel. 15
- 50.5°, d 1.808, rel. 13
- 65.9°, d 1.418, rel. 11
- 77.7°, d 1.229, rel. 11
- 53.9°, d 1.700, rel. 10


# 11
# Ce4SiSe2
Simulated X-ray powder pattern, CuKα. Input: a cell relaxed with GGA-PBE.

Cell and atoms:
```
14
Lattice="-4.6669 4.6669 4.5281 4.6669 -4.6669 4.5281 4.6669 4.6669 -4.5281" Properties=species:S:1:pos:R:3 pbc="T T T"
Ce 2.9160 2.3335 -0.5940
Ce 6.4179 2.3335 -0.5940
Ce 0.0000 0.5825 1.6700
Ce 4.6669 0.5825 2.8580
Ce 0.0000 4.0844 1.6700
Ce 4.6669 4.0844 2.8580
Ce -1.7509 2.3335 5.1221
Ce 1.7509 2.3335 5.1221
Si 4.6669 -2.3335 3.3960
Si 0.0000 7.0004 1.1320
Se 4.6669 0.0000 0.0000
Se -2.3335 2.3335 2.2640
Se 0.0000 0.0000 4.5281
Se 2.3335 2.3335 2.2640
```

The 10 most intense peaks (10 to 80 degrees two-theta), in order of falling intensity:
- 27.0°, d 3.300, rel. 100
- 31.1°, d 2.872, rel. 80
- 36.1°, d 2.489, rel. 44
- 30.4°, d 2.942, rel. 44
- 46.2°, d 1.965, rel. 37
- 50.8°, d 1.796, rel. 33
- 38.6°, d 2.333, rel. 31
- 36.7°, d 2.446, rel. 29
- 45.9°, d 1.979, rel. 28
- 72.3°, d 1.307, rel. 23


# 12
# CeSmSe3
Simulated X-ray powder pattern, CuKα. Input: a cell relaxed with GGA-PBE.

Cell and atoms:
```
10
Lattice="4.1552 0.0000 0.0000 0.0000 7.1866 0.0000 0.0000 0.0000 9.1646" Properties=species:S:1:pos:R:3 pbc="T T T"
Ce 1.0388 1.7967 1.4054
Ce 3.1164 5.3900 7.7592
Sm 1.0388 5.3900 3.6575
Sm 3.1164 1.7967 5.5072
Se 1.0388 3.7537 6.1538
Se 1.0388 5.3900 0.6022
Se 1.0388 7.0262 6.1538
Se 3.1164 0.1604 3.0108
Se 3.1164 1.7967 8.5625
Se 3.1164 3.4329 3.0108
```

The 10 most intense peaks (10 to 80 degrees two-theta), in order of falling intensity:
- 34.4°, d 2.606, rel. 100
- 38.7°, d 2.328, rel. 40
- 23.0°, d 3.864, rel. 39
- 26.6°, d 3.348, rel. 35
- 24.8°, d 3.595, rel. 31
- 43.6°, d 2.078, rel. 26
- 31.6°, d 2.829, rel. 25
- 36.5°, d 2.461, rel. 22
- 50.8°, d 1.797, rel. 21
- 44.6°, d 2.031, rel. 20